The following is a calculated powder diffraction line list of K2CrPCO7. It was derived from a PBE+U-relaxed structure, using Cu Kα (weighted mean of Kα1 and Kα2).
No peak broadening, texture or thermal motion is included.

Atomic structure:
a b c (Å): 5.5739 6.6945 9.7695
angles (deg): 90.00 91.29 90.00
Space group P2_1/m (No. 11)
Asymmetric unit:
K 0.2484 0.0257 0.2614 (multiplicity 4)
Cr 0.2225 0.2500 0.8600 (multiplicity 2)
P 0.2755 0.7500 0.9339 (multiplicity 2)
C 0.2655 0.2500 0.6087 (multiplicity 2)
O 0.0574 0.2500 0.6705 (multiplicity 2)
O 0.1156 0.7500 0.0622 (multiplicity 2)
O 0.2227 0.5610 0.8451 (multiplicity 4)
O 0.2913 0.2500 0.4825 (multiplicity 2)
O 0.4465 0.2500 0.6995 (multiplicity 2)
O 0.4517 0.2500 0.0234 (multiplicity 2)

Largest 10 diffraction maxima, in order of rising 2θ, 2θ from 5° to 70°:
9.767 Å, 9.05°, intensity 100
5.522 Å, 16.05°, intensity 25
4.884 Å, 18.17°, intensity 14
4.283 Å, 20.74°, intensity 19
3.714 Å, 23.96°, intensity 25
2.839 Å, 31.51°, intensity 22
2.786 Å, 32.13°, intensity 42
2.761 Å, 32.42°, intensity 56
2.744 Å, 32.63°, intensity 26
2.175 Å, 41.51°, intensity 15